# 1
Starting from a DFT-relaxed cell (GGA-PBE, Alexandria), the powder X-ray diffraction pattern of CePa2Re9 was computed for a wavelength of 1.5418 Å.
Lines closer than 0.1° are merged.

Peak list (6 most intense, 2θ from 5° to 70°, by angle)
| 2θ (°) | d/Å | Rel. int. |
| --- | --- | --- |
| 33.94 | 2.641 | 24 |
| 39.17 | 2.300 | 29 |
| 39.34 | 2.290 | 100 |
| 39.53 | 2.280 | 26 |
| 42.79 | 2.113 | 30 |
| 64.36 | 1.447 | 24 |

Structure:
Cell lengths 9.691, 9.691, 9.691 Å; angles 31.63, 31.63, 31.63 degrees
Fractional coordinates of all 12 atoms:
Ce 0.000 0.000 0.000
Pa 0.146 0.146 0.146
Pa 0.854 0.854 0.854
Re 0.078 0.585 0.585
Re 0.335 0.335 0.335
Re 0.415 0.415 0.922
Re 0.415 0.922 0.415
Re 0.500 0.500 0.500
Re 0.585 0.078 0.585
Re 0.585 0.585 0.078
Re 0.665 0.665 0.665
Re 0.922 0.415 0.415

# 2
Starting from a DFT-relaxed cell (GGA-PBE, Alexandria), the powder X-ray diffraction pattern of CePaRh was computed for a wavelength of 1.5418 Å.
Lines closer than 0.1° are merged.

Peak list (6 most intense, 2θ from 5° to 70°, by angle)
| 2θ (°) | d/Å | Rel. int. |
| --- | --- | --- |
| 31.55 | 2.835 | 53 |
| 31.93 | 2.803 | 100 |
| 34.61 | 2.592 | 82 |
| 35.07 | 2.559 | 41 |
| 36.76 | 2.445 | 51 |
| 42.36 | 2.134 | 45 |

Structure:
Cell lengths 8.573, 8.573, 8.573 Å; angles 120.28, 83.53, 127.48 degrees
Fractional coordinates of all 18 atoms:
Ce 0.006 0.250 0.256
Ce 0.157 0.635 0.021
Ce 0.176 0.138 0.538
Ce 0.600 0.638 0.462
Ce 0.614 0.135 0.979
Ce 0.994 0.750 0.744
Pa 0.353 0.353 0.000
Pa 0.353 0.853 0.500
Pa 0.602 0.273 0.406
Pa 0.602 0.696 0.829
Pa 0.867 0.196 0.594
Pa 0.867 0.773 0.171
Rh 0.273 0.093 0.140
Rh 0.273 0.632 0.680
Rh 0.556 0.847 0.209
Rh 0.637 0.347 0.791
Rh 0.952 0.132 0.860
Rh 0.952 0.593 0.320

# 3
Starting from a DFT-relaxed cell (GGA-PBE, Alexandria), the powder X-ray diffraction pattern of Ce4PaRh5 was computed for a wavelength of 1.5418 Å.
Lines closer than 0.1° are merged.

Peak list (6 most intense, 2θ from 5° to 70°, by angle)
| 2θ (°) | d/Å | Rel. int. |
| --- | --- | --- |
| 27.26 | 3.272 | 7 |
| 31.57 | 2.834 | 100 |
| 45.26 | 2.004 | 74 |
| 53.64 | 1.709 | 4 |
| 56.23 | 1.636 | 26 |
| 65.93 | 1.417 | 12 |

Structure:
Cell lengths 6.941, 6.941, 6.941 Å; angles 99.59, 99.59, 131.82 degrees
Fractional coordinates of all 10 atoms:
Ce 0.100 0.299 0.399
Ce 0.299 0.900 0.199
Ce 0.701 0.100 0.801
Ce 0.900 0.701 0.601
Pa 0.500 0.500 0.000
Rh 0.000 0.000 0.000
Rh 0.209 0.594 0.803
Rh 0.406 0.209 0.615
Rh 0.594 0.791 0.385
Rh 0.791 0.406 0.197

# 4
Starting from a DFT-relaxed cell (GGA-PBE, Alexandria), the powder X-ray diffraction pattern of CePa2Rh9 was computed for a wavelength of 1.5418 Å.
Lines closer than 0.1° are merged.

Peak list (6 most intense, 2θ from 5° to 70°, by angle)
| 2θ (°) | d/Å | Rel. int. |
| --- | --- | --- |
| 21.88 | 4.061 | 9 |
| 31.14 | 2.872 | 8 |
| 38.39 | 2.345 | 100 |
| 44.62 | 2.031 | 49 |
| 50.23 | 1.816 | 5 |
| 64.94 | 1.436 | 32 |

Structure:
Cell lengths 4.060, 4.060, 12.192 Å; angles 90.00, 90.00, 90.00 degrees
Fractional coordinates of all 12 atoms:
Ce 0.000 0.000 0.000
Pa 0.000 0.000 0.333
Pa 0.000 0.000 0.667
Rh 0.000 0.500 0.170
Rh 0.000 0.500 0.500
Rh 0.000 0.500 0.830
Rh 0.500 0.000 0.170
Rh 0.500 0.000 0.500
Rh 0.500 0.000 0.830
Rh 0.500 0.500 0.000
Rh 0.500 0.500 0.335
Rh 0.500 0.500 0.665

# 5
Starting from a DFT-relaxed cell (GGA-PBE, Alexandria), the powder X-ray diffraction pattern of Ce3PaRh was computed for a wavelength of 1.5418 Å.
Lines closer than 0.1° are merged.

Peak list (6 most intense, 2θ from 5° to 70°, by angle)
| 2θ (°) | d/Å | Rel. int. |
| --- | --- | --- |
| 29.63 | 3.015 | 71 |
| 30.78 | 2.904 | 87 |
| 33.40 | 2.683 | 46 |
| 36.46 | 2.464 | 91 |
| 37.14 | 2.421 | 100 |
| 46.36 | 1.959 | 43 |

Structure:
Cell lengths 3.044, 9.696, 8.375 Å; angles 90.00, 90.13, 90.00 degrees
Fractional coordinates of all 10 atoms:
Ce 0.184 0.250 0.105
Ce 0.230 0.054 0.692
Ce 0.230 0.446 0.692
Ce 0.770 0.554 0.308
Ce 0.770 0.946 0.308
Ce 0.816 0.750 0.895
Pa 0.231 0.250 0.448
Pa 0.769 0.750 0.552
Rh 0.500 0.000 0.000
Rh 0.500 0.500 0.000

# 6
Starting from a DFT-relaxed cell (GGA-PBE, Alexandria), the powder X-ray diffraction pattern of CePa3Rh was computed for a wavelength of 1.5418 Å.
Lines closer than 0.1° are merged.

Peak list (6 most intense, 2θ from 5° to 70°, by angle)
| 2θ (°) | d/Å | Rel. int. |
| --- | --- | --- |
| 14.54 | 6.091 | 25 |
| 31.57 | 2.834 | 100 |
| 35.24 | 2.547 | 36 |
| 40.90 | 2.207 | 44 |
| 43.98 | 2.059 | 20 |
| 57.56 | 1.601 | 19 |

Structure:
Cell lengths 6.915, 6.915, 6.915 Å; angles 145.36, 136.78, 56.53 degrees
Fractional coordinates of all 5 atoms:
Ce 0.000 0.000 0.000
Pa 0.247 0.747 0.500
Pa 0.612 0.612 0.000
Pa 0.759 0.259 0.500
Rh 0.390 0.390 0.000